# 1
Structure and simulated powder diffraction line list of Ac3PmTe6 (a structure optimized by DFT (GGA-PBE); Cu Kα, 1.54184 Å).

Structure:
```
Ac3PmTe6
1.0
7.2427 4.1816 4.5403
-7.2427 4.1816 4.5403
0.0000 -8.3631 4.5403
Ac Pm Te
6 2 12
Direct
0.1195 0.2882 0.6288 Ac
0.2882 0.6288 0.1195 Ac
0.3712 0.8805 0.7118 Ac
0.6288 0.1195 0.2882 Ac
0.7118 0.3712 0.8805 Ac
0.8805 0.7118 0.3712 Ac
0.0000 0.0000 0.0000 Pm
0.5000 0.5000 0.5000 Pm
0.0395 0.9352 0.6783 Te
0.0648 0.3217 0.9605 Te
0.1842 0.5636 0.4281 Te
0.3217 0.9605 0.0648 Te
0.4281 0.1842 0.5636 Te
0.4364 0.5719 0.8158 Te
0.5636 0.4281 0.1842 Te
0.5719 0.8158 0.4364 Te
0.6783 0.0395 0.9352 Te
0.8158 0.4364 0.5719 Te
0.9352 0.6783 0.0395 Te
0.9605 0.0648 0.3217 Te
```

Principal peaks in the range 10° ≤ 2θ ≤ 90°, by intensity:
32.4 deg, intensity 100.0
32.7 deg, intensity 83.0
19.8 deg, intensity 77.8
28.8 deg, intensity 70.7
19.6 deg, intensity 27.7
42.2 deg, intensity 23.9
26.4 deg, intensity 22.6
61.7 deg, intensity 22.2
59.1 deg, intensity 19.6
40.3 deg, intensity 18.6

***

# 2
Structure and simulated powder diffraction line list of AcPuP2Pt2 (a structure optimized by DFT (GGA-PBE); Cu Kα, 1.54184 Å).

Structure:
```
AcPuP2Pt2
1.0
4.2196 0.0000 0.0000
-2.1098 3.6542 0.0000
0.0000 0.0000 8.2295
Ac Pu P Pt
1 1 2 2
Direct
0.0000 0.0000 0.0000 Ac
0.0000 0.0000 0.5000 Pu
0.3333 0.6667 0.2762 P
0.6667 0.3333 0.7238 P
0.3333 0.6667 0.7401 Pt
0.6667 0.3333 0.2599 Pt
```

Principal peaks in the range 10° ≤ 2θ ≤ 90°, by intensity:
32.8 deg, intensity 100.0
42.9 deg, intensity 42.9
26.7 deg, intensity 28.3
63.1 deg, intensity 26.3
55.0 deg, intensity 24.0
72.1 deg, intensity 21.4
44.0 deg, intensity 12.6
24.4 deg, intensity 12.1
41.1 deg, intensity 9.9
73.8 deg, intensity 9.5

***

# 3
Structure and simulated powder diffraction line list of LiBi3P6O20 (a structure optimized by DFT (GGA-PBE); Cu Kα, 1.54184 Å).

Structure:
```
LiBi3P6O20
1.0
13.4545 0.0000 0.0000
0.0000 7.4386 5.3867
0.0000 -7.4386 5.3867
Li Bi P O
2 6 12 40
Direct
0.0000 0.0000 0.0000 Li
0.5000 0.5000 0.5000 Li
0.0000 0.7021 0.7021 Bi
0.2211 0.7588 0.3408 Bi
0.2789 0.2588 0.8408 Bi
0.5000 0.2021 0.2021 Bi
0.7211 0.8408 0.2588 Bi
0.7789 0.3408 0.7588 Bi
0.0456 0.3127 0.6982 P
0.1991 0.1851 0.4632 P
0.2026 0.8669 0.7797 P
0.2974 0.3669 0.2797 P
0.3009 0.6851 0.9632 P
0.4544 0.8127 0.1982 P
0.5456 0.1982 0.8127 P
0.6991 0.9632 0.6851 P
0.7026 0.2797 0.3669 P
0.7974 0.7797 0.8669 P
0.8009 0.4632 0.1851 P
0.9544 0.6982 0.3127 P
0.0600 0.4833 0.7140 O
0.0616 0.6932 0.2619 O
0.0879 0.2199 0.5259 O
0.1076 0.2653 0.8150 O
0.1116 0.9039 0.8868 O
0.1699 0.7438 0.6290 O
0.2023 0.0220 0.3610 O
0.2096 0.2958 0.3592 O
0.2260 0.7376 0.0927 O
0.2466 0.5005 0.2470 O
0.2534 0.0005 0.7470 O
0.2740 0.2376 0.5927 O
0.2904 0.7958 0.8592 O
0.2977 0.5220 0.8610 O
0.3301 0.2438 0.1290 O
0.3884 0.4039 0.3868 O
0.3923 0.7653 0.3150 O
0.4121 0.7199 0.0259 O
0.4384 0.1931 0.7619 O
0.4400 0.9833 0.2140 O
0.5600 0.2140 0.9833 O
0.5616 0.7619 0.1931 O
0.5879 0.0259 0.7199 O
0.6076 0.3150 0.7653 O
0.6116 0.3868 0.4039 O
0.6699 0.1290 0.2438 O
0.7023 0.8610 0.5220 O
0.7096 0.8592 0.7958 O
0.7260 0.5927 0.2376 O
0.7466 0.7470 0.0005 O
0.7534 0.2470 0.5005 O
0.7740 0.0927 0.7376 O
0.7904 0.3592 0.2958 O
0.7977 0.3610 0.0220 O
0.8301 0.6290 0.7438 O
0.8884 0.8868 0.9039 O
0.8924 0.8150 0.2653 O
0.9121 0.5259 0.2199 O
0.9384 0.2619 0.6932 O
0.9400 0.7140 0.4833 O
```

Principal peaks in the range 10° ≤ 2θ ≤ 90°, by intensity:
12.1 deg, intensity 100.0
20.4 deg, intensity 97.9
17.8 deg, intensity 59.7
24.3 deg, intensity 40.8
20.8 deg, intensity 34.6
29.9 deg, intensity 33.9
28.4 deg, intensity 28.8
13.2 deg, intensity 28.8
35.5 deg, intensity 28.6
35.9 deg, intensity 26.2